For MgCo4Hg2O8, a cell relaxed with GGA+U gives the computed powder diffractogram in this record (Cu Kα).
Neutral-atom scattering factors, no anomalous dispersion.

The 10 most intense peaks (2θ from 10° to 80°), most intense first:
- 2θ = 31.6°, I = 100
- 2θ = 26.9°, I = 98
- 2θ = 27.0°, I = 67
- 2θ = 31.8°, I = 46
- 2θ = 26.7°, I = 35
- 2θ = 31.4°, I = 31
- 2θ = 50.4°, I = 28
- 2θ = 47.5°, I = 27
- 2θ = 55.3°, I = 24
- 2θ = 50.7°, I = 20

Crystal structure
a = 11.429 Å, b = 6.630 Å, c = 6.675 Å
α = 90.00°, β = 125.26°, γ = 90.00°
Space group Cm (No. 8)
Symmetry-distinct sites (fractional):
Mg: 0.000 0.000 0.000 x2
Co: 0.125 0.000 0.425 x2
Co: 0.142 0.000 0.850 x2
Co: 0.344 0.221 0.855 x4
Hg: 0.245 0.500 0.255 x2
Hg: 0.473 0.000 0.496 x2
O: 0.115 0.223 0.123 x4
O: 0.125 0.214 0.626 x4
O: 0.339 0.000 0.644 x2
O: 0.343 0.000 0.068 x2
O: 0.385 0.500 0.666 x2
O: 0.391 0.500 0.125 x2